(1)
For Ho3Th3Sc2, a cell relaxed with PBE gives the calculated powder XRD pattern in this record (Cu Kα).
Peak positions follow from Bragg's law for the DFT cell and can differ from measured ones.

Structural model:
```
Ho3Th3Sc2
1.0
4.873 0.000 0.000
0.000 4.931 0.000
0.000 0.000 9.939
Ho Th Sc
3 3 2
Cartesian
0.000 0.000 0.000 Ho
0.000 0.000 4.969 Ho
2.436 2.466 0.000 Ho
2.436 0.000 2.463 Th
2.436 0.000 7.476 Th
2.436 2.466 4.969 Th
0.000 2.466 2.506 Sc
0.000 2.466 7.433 Sc
```

Largest 8 diffraction maxima, sorted by position, 2θ from 15° to 90°:
d/Å  2theta  I_rel
2.843  31.5  1000
2.485  36.2  173
2.466  36.4  169
2.436  36.9  164
1.495  62.1  145
1.486  62.5  143
1.473  63.1  139
1.421  65.7  123

(2)
For Ho8ThSc4, a cell relaxed with PBE gives the calculated powder XRD pattern in this record (Cu Kα).
Peak positions follow from Bragg's law for the DFT cell and can differ from measured ones.

Structural model:
```
Ho8ThSc4
1.0
3.322 1.918 10.398
-3.322 1.918 10.398
0.000 -3.836 10.398
Ho Th Sc
8 1 4
Cartesian
0.000 0.000 6.222 Ho
-1.689 -0.975 18.147 Ho
0.000 -1.950 13.046 Ho
-1.689 0.975 13.046 Ho
1.689 -0.975 18.147 Ho
0.000 1.950 18.147 Ho
1.689 0.975 13.046 Ho
0.000 0.000 24.971 Ho
0.000 0.000 15.596 Th
0.000 0.000 0.000 Sc
-1.661 -0.959 10.398 Sc
-1.661 0.959 20.795 Sc
0.000 1.918 10.398 Sc
```

Largest 8 diffraction maxima, sorted by position, 2θ from 15° to 90°:
d/Å  2theta  I_rel
3.164  28.2  321
2.829  31.6  363
2.799  32.0  434
2.742  32.7  367
2.699  33.2  1000
2.315  38.9  365
1.661  55.3  310
1.613  57.1  281

(3)
For Ho6Th2Sc, a cell relaxed with PBE gives the calculated powder XRD pattern in this record (Cu Kα).
Peak positions follow from Bragg's law for the DFT cell and can differ from measured ones.

Structural model:
```
Ho6Th2Sc
1.0
3.521 0.000 0.000
-1.761 3.049 0.000
0.000 0.000 25.910
Ho Th Sc
6 2 1
Cartesian
0.000 0.000 1.663 Ho
0.000 0.000 7.453 Ho
0.000 0.000 18.457 Ho
0.000 0.000 24.247 Ho
0.000 2.033 10.303 Ho
0.000 2.033 15.607 Ho
0.000 2.033 4.503 Th
0.000 2.033 21.407 Th
0.000 0.000 12.955 Sc
```

Largest 8 diffraction maxima, sorted by position, 2θ from 15° to 90°:
d/Å  2theta  I_rel
3.049  29.3  431
2.877  31.1  767
2.759  32.5  394
2.628  34.1  1000
2.093  43.2  241
1.761  51.9  463
1.582  58.3  309
1.502  61.8  394

(4)
For Ho2Th4Sc, a cell relaxed with PBE gives the calculated powder XRD pattern in this record (Cu Kα).
Peak positions follow from Bragg's law for the DFT cell and can differ from measured ones.

Structural model:
```
Ho2Th4Sc
1.0
8.142 0.000 0.000
0.000 8.142 0.000
0.000 0.000 3.453
Ho Th Sc
2 4 1
Cartesian
0.000 4.071 0.000 Ho
4.071 0.000 0.000 Ho
1.709 1.709 1.727 Th
1.709 6.433 1.727 Th
6.433 1.709 1.727 Th
6.433 6.433 1.727 Th
4.071 4.071 1.727 Sc
```

Largest 8 diffraction maxima, sorted by position, 2θ from 15° to 90°:
d/Å  2theta  I_rel
4.071  21.8  219
2.961  30.2  222
2.879  31.1  626
2.714  33.0  208
2.633  34.0  1000
2.134  42.4  212
1.610  57.2  202
1.481  62.7  173

Repeat the third record exactly.
For Ho6Th2Sc, a cell relaxed with PBE gives the calculated powder XRD pattern in this record (Cu Kα).
Peak positions follow from Bragg's law for the DFT cell and can differ from measured ones.

Structural model:
```
Ho6Th2Sc
1.0
3.521 0.000 0.000
-1.761 3.049 0.000
0.000 0.000 25.910
Ho Th Sc
6 2 1
Cartesian
0.000 0.000 1.663 Ho
0.000 0.000 7.453 Ho
0.000 0.000 18.457 Ho
0.000 0.000 24.247 Ho
0.000 2.033 10.303 Ho
0.000 2.033 15.607 Ho
0.000 2.033 4.503 Th
0.000 2.033 21.407 Th
0.000 0.000 12.955 Sc
```

Largest 8 diffraction maxima, sorted by position, 2θ from 15° to 90°:
d/Å  2theta  I_rel
3.049  29.3  431
2.877  31.1  767
2.759  32.5  394
2.628  34.1  1000
2.093  43.2  241
1.761  51.9  463
1.582  58.3  309
1.502  61.8  394